For Ca5Cu2Ir2O12, a DFT-relaxed cell (PBE, Alexandria) gives the computed powder diffractogram in this record (a wavelength of 1.5418 Å).

```
data_Ca5Cu2Ir2O12
_space_group_name_H-M_alt 'P 1'
_space_group_IT_number 1
_space_group_name_Hall 'P 1'
_cell_length_a 6.505
_cell_length_b 6.528
_cell_length_c 6.548
_cell_angle_alpha 91.25
_cell_angle_beta 92.76
_cell_angle_gamma 90.26
loop_
_atom_site_label
_atom_site_type_symbol
_atom_site_fract_x
_atom_site_fract_y
_atom_site_fract_z
Ca1 Ca 0.000 0.000 0.000
Ca2 Ca 0.139 0.857 0.477
Ca3 Ca 0.504 0.122 0.860
Ca4 Ca 0.649 0.618 0.694
Ca5 Ca 0.823 0.486 0.196
Cu1 Cu 0.208 0.481 0.759
Cu2 Cu 0.577 0.002 0.400
Ir1 Ir 0.397 0.730 0.086
Ir2 Ir 0.890 0.234 0.596
O1 O 0.109 0.690 0.156
O2 O 0.177 0.182 0.710
O3 O 0.299 0.773 0.789
O4 O 0.364 0.021 0.180
O5 O 0.429 0.451 0.967
O6 O 0.504 0.711 0.376
O7 O 0.602 0.284 0.510
O8 O 0.682 0.795 0.014
O9 O 0.789 0.949 0.638
O10 O 0.822 0.306 0.886
O11 O 0.945 0.151 0.315
O12 O 0.977 0.529 0.556
```

Most intense lines, 10° ≤ 2θ ≤ 80°, in order of rising 2θ:
18.8°, I = 78; 19.0°, I = 100; 19.2°, I = 86; 19.4°, I = 86; 33.2°, I = 48; 33.6°, I = 59